[1]
Structure and simulated X-ray diffraction stick pattern of YGa6Fe6 (a crystal structure in Alexandria, relaxed with PBE; a wavelength of 1.5418 Å).
Intensities are scaled so that the largest is 100.

Cell and atoms:
```
data_YGa6Fe6
_symmetry_space_group_name_H-M 'I m m m'
_symmetry_Int_Tables_number 71
_symmetry_space_group_name_Hall '-I 2 2'
_cell_length_a 5.0274
_cell_length_b 8.4977
_cell_length_c 8.6440
_cell_angle_alpha 90.00
_cell_angle_beta 90.00
_cell_angle_gamma 90.00
loop_
_atom_site_label
_atom_site_fract_x
_atom_site_fract_y
_atom_site_fract_z
Y1 0.0000 0.0000 0.0000
Ga1 0.0000 0.0000 0.3446
Ga2 0.0000 0.3338 0.0000
Ga3 0.0000 0.5000 0.3155
Fe1 0.0000 0.2572 0.5000
Fe2 0.2500 0.2500 0.2500
```

Top 10 peaks for 2θ = 10–80°, sorted by position:
2θ (°)  I_rel
35.7  39
35.9  72
41.6  56
41.8  86
41.9  100
42.2  50
42.6  60
47.0  100
47.2  41
47.7  36

=====

[2]
Structure and simulated X-ray diffraction stick pattern of ZnH2Br (a crystal structure in Alexandria, relaxed with PBE; a wavelength of 1.5418 Å).
Intensities are scaled so that the largest is 100.

Cell and atoms:
```
data_ZnH2Br
_symmetry_space_group_name_H-M 'I -4 2 d'
_symmetry_Int_Tables_number 122
_symmetry_space_group_name_Hall 'I -4 2bw'
_cell_length_a 5.4632
_cell_length_b 5.4632
_cell_length_c 7.7819
_cell_angle_alpha 90.00
_cell_angle_beta 90.00
_cell_angle_gamma 90.00
loop_
_atom_site_label
_atom_site_fract_x
_atom_site_fract_y
_atom_site_fract_z
Zn1 0.0000 0.0000 0.0000
H1 0.0031 0.7500 0.1250
Br1 0.0000 0.0000 0.5000
```

Top 10 peaks for 2θ = 10–80°, sorted by position:
2θ (°)  I_rel
32.7  100
32.8  50
46.7  9
47.0  17
58.2  18
58.5  36
68.4  11
68.7  5
77.7  8
78.2  15

=====

[3]
Structure and simulated X-ray diffraction stick pattern of Y7Ga2Co2 (a crystal structure in Alexandria, relaxed with PBE; a wavelength of 1.5418 Å).
Intensities are scaled so that the largest is 100.

Cell and atoms:
```
data_Y7Ga2Co2
_symmetry_space_group_name_H-M 'C m m m'
_symmetry_Int_Tables_number 65
_symmetry_space_group_name_Hall '-C 2 2'
_cell_length_a 7.6277
_cell_length_b 10.9367
_cell_length_c 6.8311
_cell_angle_alpha 90.00
_cell_angle_beta 90.00
_cell_angle_gamma 90.00
loop_
_atom_site_label
_atom_site_fract_x
_atom_site_fract_y
_atom_site_fract_z
Y1 0.0000 0.0000 0.0000
Y2 0.0000 0.5000 0.2457
Y3 0.2500 0.2500 0.2522
Ga1 0.1672 0.0000 0.5000
Co1 0.0000 0.2954 0.0000
```

Top 10 peaks for 2θ = 10–80°, sorted by position:
2θ (°)  I_rel
26.8  31
28.5  62
29.8  51
30.9  24
32.8  71
35.3  17
38.0  52
39.0  100
53.7  20
64.3  19